Entry 1:
Structure and calculated powder XRD pattern of Pd7PtAu4 (a cell relaxed with GGA-PBE; Cu Ka).
Peak positions follow from Bragg's law for the DFT cell and can differ from measured ones.

Structural model:
abc: 4.907 5.653 7.229
angles: 89.65 77.14 89.93
Space group P-1 (No. 2)
Symmetry-distinct sites (fractional):
Pd1 0.000 0.000 0.000
Pd2 0.218 0.499 0.330
Pd3 0.276 0.748 0.672
Pd4 0.500 0.254 0.001
Pt1 0.000 0.500 0.000
Au1 0.225 0.001 0.330
Au2 0.280 0.255 0.667

Principal peaks in the range 10° ≤ 2θ ≤ 90°, in order of rising 2θ:
- 2θ 36.9, 2.434 Å, I 46.1, (1 2 0)
- 2θ 37.6, 2.390 Å, I 23.2, (1 2 1)
- 2θ 38.3, 2.349 Å, I 83.0, (0 0 3)
- 2θ 40.6, 2.225 Å, I 100.0, (2 0 2)
- 2θ 40.6, 2.220 Å, I 47.7, (1 2 -1)
- 2θ 42.6, 2.124 Å, I 81.0, (2 0 -1)
- 2θ 42.8, 2.112 Å, I 40.3, (1 -2 2)
- 2θ 66.0, 1.416 Å, I 32.6, (3 -2 1)
- 2θ 69.5, 1.353 Å, I 21.0, (2 0 5)
- 2θ 78.9, 1.213 Å, I 19.7, (3 2 4)

***

Entry 2:
Structure and calculated powder XRD pattern of Pd8Pt4Au (a cell relaxed with GGA-PBE; Cu Ka).
Peak positions follow from Bragg's law for the DFT cell and can differ from measured ones.

Structural model:
abc: 5.527 7.513 5.545
angles: 90.00 91.18 90.00
Space group P2/m (No. 10)
Symmetry-distinct sites (fractional):
Pd1 0.245 0.241 0.245
Pd2 0.248 0.235 0.752
Pt1 0.000 0.000 0.000
Pt2 0.000 0.500 0.500
Pt3 0.500 0.000 0.500
Pt4 0.500 0.500 0.000
Au1 0.500 0.500 0.500

Principal peaks in the range 10° ≤ 2θ ≤ 90°, in order of rising 2θ:
- 2θ 19.9, 4.456 Å, I 7.1, (1 1 0)
- 2θ 25.5, 3.499 Å, I 15.6, (1 1 -1)
- 2θ 25.9, 3.443 Å, I 16.6, (1 1 1)
- 2θ 40.5, 2.228 Å, I 100.0, (2 2 0)
- 2θ 45.9, 1.977 Å, I 17.7, (2 0 -2)
- 2θ 46.9, 1.937 Å, I 16.5, (2 0 2)
- 2θ 48.5, 1.878 Å, I 14.6, (0 4 0)
- 2θ 69.0, 1.362 Å, I 10.1, (2 4 -2)
- 2θ 69.7, 1.348 Å, I 9.7, (2 4 2)
- 2θ 85.0, 1.141 Å, I 11.0, (2 6 0)

***

Entry 3:
Structure and calculated powder XRD pattern of Pd12Pt7Au (a cell relaxed with GGA-PBE; Cu Ka).
Peak positions follow from Bragg's law for the DFT cell and can differ from measured ones.

Structural model:
abc: 9.375 9.375 9.375
angles: 90.00 90.00 90.00
Space group Im-3 (No. 204)
Symmetry-distinct sites (fractional):
Pd1 0.000 0.267 0.143
Pt1 0.000 0.000 0.500
Pt2 0.250 0.250 0.250
Au1 0.000 0.000 0.000

Principal peaks in the range 10° ≤ 2θ ≤ 90°, in order of rising 2θ:
- 2θ 13.4, 6.629 Å, I 13.4, (1 1 0)
- 2θ 23.2, 3.827 Å, I 14.1, (2 1 1)
- 2θ 26.9, 3.315 Å, I 76.2, (2 2 0)
- 2θ 30.1, 2.965 Å, I 15.4, (3 0 1)
- 2θ 35.8, 2.506 Å, I 17.5, (3 1 2)
- 2θ 38.4, 2.344 Å, I 48.1, (4 0 0)
- 2θ 43.2, 2.096 Å, I 22.3, (4 2 0)
- 2θ 47.5, 1.914 Å, I 100.0, (4 2 2)
- 2θ 62.7, 1.482 Å, I 17.2, (6 2 0)
- 2θ 76.0, 1.253 Å, I 49.6, (6 2 4)

***

Entry 4:
Structure and calculated powder XRD pattern of PdPt3Au (a cell relaxed with GGA-PBE; Cu Ka).
Peak positions follow from Bragg's law for the DFT cell and can differ from measured ones.

Structural model:
abc: 10.840 2.773 10.725
angles: 90.00 92.80 90.00
Space group C2/m (No. 12)
Symmetry-distinct sites (fractional):
Pd1 0.232 0.000 0.289
Pt1 0.036 0.000 0.681
Pt2 0.132 0.500 0.483
Pt3 0.174 0.000 0.911
Au1 0.066 0.500 0.117

Principal peaks in the range 10° ≤ 2θ ≤ 90°, in order of rising 2θ:
- 2θ 37.3, 2.413 Å, I 51.3, (1 1 -2)
- 2θ 38.0, 2.370 Å, I 89.7, (4 0 2)
- 2θ 40.8, 2.210 Å, I 57.3, (4 0 -3)
- 2θ 41.7, 2.167 Å, I 100.0, (3 1 -1)
- 2θ 42.2, 2.142 Å, I 53.5, (0 0 5)
- 2θ 42.3, 2.134 Å, I 97.3, (1 1 3)
- 2θ 66.5, 1.407 Å, I 34.0, (3 1 -6)
- 2θ 77.8, 1.227 Å, I 21.5, (7 1 -4)
- 2θ 80.2, 1.197 Å, I 27.6, (4 2 2)
- 2θ 82.0, 1.175 Å, I 22.0, (4 2 -3)

***

Entry 5:
Structure and calculated powder XRD pattern of PdPt4Au2 (a cell relaxed with GGA-PBE; Cu Ka).
Peak positions follow from Bragg's law for the DFT cell and can differ from measured ones.

Structural model:
abc: 2.814 29.218 2.802
angles: 90.00 90.00 90.00
Space group Cmmm (No. 65)
Symmetry-distinct sites (fractional):
Pd1 0.000 0.000 0.000
Pt1 0.000 0.135 0.000
Pt2 0.000 0.433 0.500
Au1 0.000 0.292 0.500

Principal peaks in the range 10° ≤ 2θ ≤ 90°, in order of rising 2θ:
- 2θ 34.3, 2.616 Å, I 15.7, (0 4 1)
- 2θ 37.0, 2.428 Å, I 22.4, (0 6 1)
- 2θ 38.6, 2.333 Å, I 100.0, (1 7 0)
- 2θ 40.6, 2.223 Å, I 61.7, (0 8 1)
- 2θ 43.4, 2.087 Å, I 28.3, (0 14 0)
- 2θ 45.8, 1.981 Å, I 55.0, (1 1 1)
- 2θ 46.7, 1.945 Å, I 11.1, (1 3 1)
- 2θ 67.3, 1.390 Å, I 36.2, (1 15 1)
- 2θ 79.9, 1.201 Å, I 37.3, (1 7 2)
- 2θ 80.9, 1.189 Å, I 17.1, (2 8 1)

***

Entry 6:
Structure and calculated powder XRD pattern of Pd3Pt3Au2 (a cell relaxed with GGA-PBE; Cu Ka).
Peak positions follow from Bragg's law for the DFT cell and can differ from measured ones.

Structural model:
abc: 4.869 4.908 6.356
angles: 105.17 104.92 108.69
Space group P-1 (No. 2)
Symmetry-distinct sites (fractional):
Pd1 0.000 0.000 0.000
Pd2 0.375 0.875 0.751
Pt1 0.119 0.619 0.237
Pt2 0.500 0.500 0.000
Au1 0.250 0.250 0.501

Principal peaks in the range 10° ≤ 2θ ≤ 90°, in order of rising 2θ:
- 2θ 20.6, 4.304 Å, I 12.6, (0 1 -1)
- 2θ 38.7, 2.325 Å, I 51.1, (0 2 -1)
- 2θ 38.9, 2.313 Å, I 100.0, (1 -1 2)
- 2θ 39.1, 2.306 Å, I 49.9, (2 0 -1)
- 2θ 44.9, 2.017 Å, I 33.4, (1 1 1)
- 2θ 45.1, 2.010 Å, I 33.0, (1 1 -3)
- 2θ 45.7, 1.986 Å, I 32.1, (2 -2 0)
- 2θ 78.8, 1.215 Å, I 12.9, (1 3 -4)
- 2θ 79.0, 1.212 Å, I 19.2, (3 1 0)
- 2θ 79.2, 1.209 Å, I 12.7, (3 1 -4)

***

Question: What is the formula in the third record?
Answer: Pd12Pt7Au